No. 1
For Mg6Si5, a structure optimized by DFT (PBE) gives the calculated X-ray diffraction stick pattern in this record (a wavelength of 1.5418 Å).
Lines closer than 0.1° are merged.

Atomic structure:
```
Mg6Si5
1.0
4.193 0.000 0.000
-0.060 7.075 0.000
-0.020 -1.995 14.198
Mg Si
12 10
Cartesian
0.000 0.000 0.000
-0.063 4.995 9.345
-0.012 3.423 1.016
0.029 0.947 3.358
2.028 0.511 10.235
2.017 3.803 6.995
2.007 4.833 11.749
2.047 0.432 13.272
2.068 3.138 3.712
2.129 6.086 4.704
4.076 1.855 8.285
4.111 2.460 11.799
-0.042 4.147 5.142
-0.036 5.274 2.935
0.068 6.085 6.637
1.313 1.199 6.036
2.002 3.074 13.773
2.016 3.129 9.689
2.053 6.063 1.796
2.098 1.444 1.568
2.233 -0.393 7.750
4.155 -0.435 11.734
```

Principal peaks in the range 2θ = 5–70°, low angle first:
33.10 deg, I = 28
33.38 deg, I = 31
34.20 deg, I = 100
36.73 deg, I = 27
36.86 deg, I = 52
37.15 deg, I = 39
38.23 deg, I = 27
38.37 deg, I = 33
38.54 deg, I = 23
38.89 deg, I = 30
41.98 deg, I = 22
43.16 deg, I = 64

=====

No. 2
For CaMn2Ge2, a structure optimized by DFT (PBE) gives the calculated X-ray diffraction stick pattern in this record (a wavelength of 1.5418 Å).
Lines closer than 0.1° are merged.

Atomic structure:
```
CaMn2Ge2
1.0
-2.003 2.003 5.516
2.003 -2.003 5.516
2.003 2.003 -5.516
Ca Mn Ge
1 2 2
Cartesian
0.000 0.000 0.000
2.003 0.000 2.758
0.000 2.003 2.758
0.000 0.000 4.150
0.000 0.000 6.883
```

Principal peaks in the range 2θ = 5–70°, low angle first:
16.07 deg, I = 33
23.63 deg, I = 45
31.59 deg, I = 17
33.07 deg, I = 100
35.63 deg, I = 93
45.28 deg, I = 87
45.93 deg, I = 89
47.02 deg, I = 39
57.20 deg, I = 39
59.98 deg, I = 16
65.96 deg, I = 26
67.33 deg, I = 25

=====

No. 3
For LiNbIr2, a structure optimized by DFT (PBE) gives the calculated X-ray diffraction stick pattern in this record (a wavelength of 1.5418 Å).
Lines closer than 0.1° are merged.

Atomic structure:
```
LiNbIr2
1.0
0.000 3.088 3.088
3.088 0.000 3.088
3.088 3.088 0.000
Li Nb Ir
1 1 2
Cartesian
0.000 0.000 0.000
3.088 3.088 3.088
1.544 1.544 1.544
4.633 4.633 4.633
```

Principal peaks in the range 2θ = 5–70°, low angle first:
24.97 deg, I = 9
28.91 deg, I = 43
41.34 deg, I = 100
48.91 deg, I = 4
51.23 deg, I = 12
59.90 deg, I = 17
65.92 deg, I = 2
67.86 deg, I = 16

=====

No. 4
For ScTlF6, a structure optimized by DFT (PBE) gives the calculated X-ray diffraction stick pattern in this record (a wavelength of 1.5418 Å).
Lines closer than 0.1° are merged.

Atomic structure:
```
ScTlF6
1.0
2.809 1.622 4.914
-2.809 1.622 4.914
0.000 -3.244 4.914
Sc Tl F
1 1 6
Cartesian
0.000 0.000 0.000
0.000 0.000 7.370
-0.566 -1.687 6.092
-1.743 -0.353 8.648
-1.178 1.333 6.092
1.178 -1.333 8.648
1.743 0.353 6.092
0.566 1.687 8.648
```

Principal peaks in the range 2θ = 5–70°, low angle first:
18.05 deg, I = 14
19.21 deg, I = 38
21.89 deg, I = 100
30.43 deg, I = 29
31.85 deg, I = 20
35.61 deg, I = 10
36.85 deg, I = 23
38.99 deg, I = 10
44.63 deg, I = 19
49.27 deg, I = 26
51.19 deg, I = 18
55.87 deg, I = 12

=====

No. 5
For CaMg6CuO8, a structure optimized by DFT (PBE) gives the calculated X-ray diffraction stick pattern in this record (a wavelength of 1.5418 Å).
Lines closer than 0.1° are merged.

Atomic structure:
```
CaMg6CuO8
1.0
4.359 0.000 0.000
0.000 4.359 0.000
0.000 0.000 8.659
Ca Mg Cu O
1 6 1 8
Cartesian
0.000 0.000 0.000
0.000 0.000 4.330
0.000 2.180 2.207
0.000 2.180 6.452
2.180 0.000 2.207
2.180 0.000 6.452
2.180 2.180 4.330
2.180 2.180 0.000
0.000 0.000 2.288
0.000 0.000 6.371
0.000 2.180 0.000
0.000 2.180 4.330
2.180 0.000 0.000
2.180 0.000 4.330
2.180 2.180 2.190
2.180 2.180 6.470
```

Principal peaks in the range 2θ = 5–70°, low angle first:
10.22 deg, I = 26
20.51 deg, I = 8
22.84 deg, I = 5
28.97 deg, I = 6
30.79 deg, I = 11
30.98 deg, I = 5
35.76 deg, I = 35
41.43 deg, I = 100
41.72 deg, I = 48
42.93 deg, I = 4
60.03 deg, I = 29
60.25 deg, I = 56

=====

No. 6
For DyAl3C3, a structure optimized by DFT (PBE) gives the calculated X-ray diffraction stick pattern in this record (a wavelength of 1.5418 Å).
Lines closer than 0.1° are merged.

Atomic structure:
```
DyAl3C3
1.0
3.434 0.000 0.000
-1.717 2.974 0.000
0.000 0.000 17.348
Dy Al C
2 6 6
Cartesian
0.000 0.000 0.000
0.000 0.000 8.674
0.000 1.982 2.319
0.000 1.982 6.356
0.000 1.982 13.011
1.717 0.991 4.337
1.717 0.991 10.993
1.717 0.991 15.030
0.000 1.982 4.337
0.000 1.982 10.290
0.000 1.982 15.733
1.717 0.991 1.615
1.717 0.991 7.059
1.717 0.991 13.011
```

Principal peaks in the range 2θ = 5–70°, low angle first:
10.20 deg, I = 100
20.48 deg, I = 24
30.05 deg, I = 18
31.81 deg, I = 95
36.64 deg, I = 63
41.65 deg, I = 14
43.66 deg, I = 40
53.36 deg, I = 25
61.92 deg, I = 15
63.48 deg, I = 13
66.48 deg, I = 11
69.88 deg, I = 18